No. 1
Diffraction record for AlCoNF6. The powder diffraction line list is theoretical, not measured: it uses a crystal structure in the Materials Project, relaxed with GGA+U and CuKα.
Lines closer than 0.1° are merged.

Structural model:
Cell lengths 7.065, 7.065, 7.065 Å; angles 120.76, 119.02, 90.20 degrees
Atoms (fractional coordinates):
Al (0.500, 0.000, 0.000)
Al (0.500, 0.500, 0.500)
Co (0.000, 0.000, 0.000)
Co (0.500, 0.000, 0.500)
N (0.126, 0.376, 0.750)
N (0.874, 0.624, 0.250)
F (0.175, 0.925, 0.250)
F (0.195, 0.322, 0.264)
F (0.195, 0.931, 0.873)
F (0.442, 0.069, 0.764)
F (0.442, 0.678, 0.373)
F (0.446, 0.696, 0.750)
F (0.554, 0.304, 0.250)
F (0.558, 0.322, 0.627)
F (0.558, 0.931, 0.236)
F (0.805, 0.069, 0.127)
F (0.805, 0.678, 0.736)
F (0.825, 0.075, 0.750)

Most intense lines, 2θ = 10–90°, in order of rising 2θ:
d (Å)	2θ (°)	I/Imax
5.822	15.22	43
5.721	15.49	100
3.038	29.40	33
3.016	29.62	6
2.999	29.79	28
2.911	30.71	23
2.861	31.27	20
2.029	44.65	6
1.941	46.81	10
1.907	47.69	14
1.766	51.77	23
1.746	52.40	6

***

No. 2
Diffraction record for Fe3P2O16. The powder diffraction line list is theoretical, not measured: it uses a crystal structure in the Materials Project, relaxed with GGA+U and CuKα.
Lines closer than 0.1° are merged.

Structural model:
Cell lengths 7.806, 9.370, 10.429 Å; angles 65.26, 89.19, 82.31 degrees
Atoms (fractional coordinates):
Fe (0.133, 0.013, 0.274)
Fe (0.324, 0.485, 0.394)
Fe (0.364, 0.977, 0.790)
Fe (0.636, 0.023, 0.210)
Fe (0.676, 0.515, 0.606)
Fe (0.867, 0.987, 0.726)
P (0.115, 0.179, 0.503)
P (0.408, 0.809, 0.144)
P (0.592, 0.191, 0.856)
P (0.885, 0.821, 0.497)
O (0.003, 0.364, 0.824)
O (0.019, 0.576, 0.091)
O (0.045, 0.826, 0.406)
O (0.075, 0.132, 0.383)
O (0.096, 0.907, 0.847)
O (0.154, 0.353, 0.435)
O (0.203, 0.796, 0.827)
O (0.246, 0.912, 0.164)
O (0.273, 0.068, 0.596)
O (0.286, 0.198, 0.163)
O (0.329, 0.564, 0.538)
O (0.381, 0.631, 0.218)
O (0.400, 0.105, 0.266)
O (0.429, 0.169, 0.786)
O (0.431, 0.853, 0.987)
O (0.459, 0.650, 0.523)
O (0.541, 0.350, 0.477)
O (0.569, 0.147, 0.013)
O (0.571, 0.831, 0.214)
O (0.600, 0.895, 0.734)
O (0.619, 0.369, 0.782)
O (0.671, 0.436, 0.462)
O (0.714, 0.802, 0.837)
O (0.727, 0.932, 0.404)
O (0.754, 0.088, 0.836)
O (0.797, 0.204, 0.173)
O (0.846, 0.647, 0.565)
O (0.904, 0.093, 0.153)
O (0.925, 0.868, 0.617)
O (0.955, 0.174, 0.594)
O (0.981, 0.424, 0.909)
O (0.997, 0.636, 0.176)

Most intense lines, 2θ = 10–90°, in order of rising 2θ:
d (Å)	2θ (°)	I/Imax
8.425	10.50	91
8.245	10.73	30
5.853	15.14	30
5.383	16.47	100
5.152	17.21	25
4.213	21.09	17
4.122	21.56	34
3.539	25.17	30
3.269	27.28	16
3.237	27.56	19
2.963	30.16	45
2.581	34.76	17